Entry 1:
This entry pairs a crystal structure of Sm8TlIn5 with its calculated X-ray diffraction stick pattern. Radiation: λ = 1.5418 Å (Cu Kα). Structure: a structure optimized by DFT (PBE).
Neutral-atom scattering factors, no anomalous dispersion.

Largest 8 diffraction maxima, sorted by position, 5° ≤ 2θ ≤ 70°:
- 29.7°, intensity 100, hkl 1 3 0
- 35.4°, intensity 73, hkl 3 2 1
- 42.6°, intensity 12, hkl 4 2 0
- 46.9°, intensity 19, hkl 4 2 2
- 48.9°, intensity 21, hkl 1 4 3
- 60.0°, intensity 27, hkl 1 6 1
- 61.8°, intensity 12, hkl 2 6 0
- 63.5°, intensity 15, hkl 4 5 1

a = 9.494 Å, b = 9.494 Å, c = 9.507 Å
α = 90.00°, β = 90.00°, γ = 90.00°
Space group I-4 (No. 82)
Symmetry-distinct sites (fractional):
Sm (0.075, 0.176, 0.199) x8
Sm (0.075, 0.325, 0.550) x8
Tl (0.000, 0.000, 0.500) x2
In (0.000, 0.500, 0.250) x2
In (0.125, 0.251, 0.875) x8

Entry 2:
This entry pairs a crystal structure of Sm6Tl2In with its calculated X-ray diffraction stick pattern. Radiation: λ = 1.5418 Å (Cu Kα). Structure: a structure optimized by DFT (PBE).
Neutral-atom scattering factors, no anomalous dispersion.

Largest 8 diffraction maxima, sorted by position, 5° ≤ 2θ ≤ 70°:
- 20.6°, intensity 31, hkl 1 1 -1
- 23.8°, intensity 9, hkl 2 0 1
- 33.9°, intensity 100, hkl 6 0 0
- 40.0°, intensity 11, hkl 3 3 0
- 48.7°, intensity 12, hkl 4 0 2
- 53.4°, intensity 6, hkl 1 3 2
- 60.7°, intensity 25, hkl 8 2 1
- 60.8°, intensity 12, hkl 10 2 -1

a = 16.691 Å, b = 7.485 Å, c = 5.277 Å
α = 90.00°, β = 108.30°, γ = 90.00°
Space group C2/m (No. 12)
Symmetry-distinct sites (fractional):
Sm (0.000, 0.249, 0.000) x4
Sm (0.166, 0.249, 0.666) x8
Tl (0.167, 0.500, 0.166) x4
In (0.000, 0.000, 0.500) x2

Copy entry 2 word for word.
This entry pairs a crystal structure of Sm6Tl2In with its calculated X-ray diffraction stick pattern. Radiation: λ = 1.5418 Å (Cu Kα). Structure: a structure optimized by DFT (PBE).
Neutral-atom scattering factors, no anomalous dispersion.

Largest 8 diffraction maxima, sorted by position, 5° ≤ 2θ ≤ 70°:
- 20.6°, intensity 31, hkl 1 1 -1
- 23.8°, intensity 9, hkl 2 0 1
- 33.9°, intensity 100, hkl 6 0 0
- 40.0°, intensity 11, hkl 3 3 0
- 48.7°, intensity 12, hkl 4 0 2
- 53.4°, intensity 6, hkl 1 3 2
- 60.7°, intensity 25, hkl 8 2 1
- 60.8°, intensity 12, hkl 10 2 -1

a = 16.691 Å, b = 7.485 Å, c = 5.277 Å
α = 90.00°, β = 108.30°, γ = 90.00°
Space group C2/m (No. 12)
Symmetry-distinct sites (fractional):
Sm (0.000, 0.249, 0.000) x4
Sm (0.166, 0.249, 0.666) x8
Tl (0.167, 0.500, 0.166) x4
In (0.000, 0.000, 0.500) x2

Repeat the second record exactly.
This entry pairs a crystal structure of Sm6Tl2In with its calculated X-ray diffraction stick pattern. Radiation: λ = 1.5418 Å (Cu Kα). Structure: a structure optimized by DFT (PBE).
Neutral-atom scattering factors, no anomalous dispersion.

Largest 8 diffraction maxima, sorted by position, 5° ≤ 2θ ≤ 70°:
- 20.6°, intensity 31, hkl 1 1 -1
- 23.8°, intensity 9, hkl 2 0 1
- 33.9°, intensity 100, hkl 6 0 0
- 40.0°, intensity 11, hkl 3 3 0
- 48.7°, intensity 12, hkl 4 0 2
- 53.4°, intensity 6, hkl 1 3 2
- 60.7°, intensity 25, hkl 8 2 1
- 60.8°, intensity 12, hkl 10 2 -1

a = 16.691 Å, b = 7.485 Å, c = 5.277 Å
α = 90.00°, β = 108.30°, γ = 90.00°
Space group C2/m (No. 12)
Symmetry-distinct sites (fractional):
Sm (0.000, 0.249, 0.000) x4
Sm (0.166, 0.249, 0.666) x8
Tl (0.167, 0.500, 0.166) x4
In (0.000, 0.000, 0.500) x2